Entry 1:
Starting from a DFT-relaxed cell (GGA-PBE, Alexandria), the X-ray powder pattern of Na5As2I2 was calculated for Cu Kα, 1.54184 Å.
Intensities are scaled so that the largest is 100.

Cell and atoms:
Cell lengths 9.261, 9.261, 7.852 Å; angles 90.00, 90.00, 50.06 degrees
Positions (direct):
Na 0.000 0.000 0.000
Na 0.047 0.702 0.672
Na 0.202 0.547 0.172
Na 0.298 0.953 0.672
Na 0.453 0.798 0.172
Na 0.500 0.500 0.500
Na 0.547 0.202 0.828
Na 0.702 0.047 0.328
Na 0.798 0.453 0.828
Na 0.953 0.298 0.328
As 0.111 0.889 0.388
As 0.389 0.611 0.888
As 0.611 0.389 0.112
As 0.889 0.111 0.612
I 0.206 0.206 0.000
I 0.294 0.294 0.500
I 0.706 0.706 0.500
I 0.794 0.794 0.000

Peak list (12 most intense, 5° ≤ 2θ ≤ 70°, sorted by position)
2θ/deg, intensity
21.18, 16.0
22.59, 100.0
22.70, 21.4
25.06, 29.3
30.06, 15.7
31.19, 54.4
32.28, 27.6
34.05, 17.0
36.62, 27.7
41.01, 29.6
45.47, 38.8
47.62, 21.5

=====

Entry 2:
Starting from a DFT-relaxed cell (GGA-PBE, Alexandria), the X-ray powder pattern of Na2AsI5 was calculated for Cu Kα, 1.54184 Å.
Intensities are scaled so that the largest is 100.

Cell and atoms:
Cell lengths 8.115, 8.115, 6.681 Å; angles 112.11, 112.11, 87.95 degrees
Positions (direct):
Na 0.230 0.770 0.000
Na 0.770 0.230 0.000
As 0.210 0.210 0.591
I 0.157 0.157 0.934
I 0.466 0.955 0.549
I 0.498 0.498 0.872
I 0.931 0.931 0.202
I 0.955 0.466 0.549

Peak list (12 most intense, 5° ≤ 2θ ≤ 70°, sorted by position)
2θ/deg, intensity
11.86, 66.6
15.44, 61.9
16.42, 53.4
22.19, 100.0
22.81, 68.2
23.85, 45.8
24.24, 53.2
26.73, 80.2
29.36, 61.6
31.76, 83.6
36.10, 57.9
41.98, 47.1

=====

Entry 3:
Starting from a DFT-relaxed cell (GGA-PBE, Alexandria), the X-ray powder pattern of NaAs4IO6 was calculated for Cu Kα, 1.54184 Å.
Intensities are scaled so that the largest is 100.

Cell and atoms:
Cell lengths 5.346, 5.346, 9.304 Å; angles 90.00, 90.00, 120.00 degrees
Positions (direct):
Na 0.000 0.000 0.000
As 0.333 0.667 0.281
As 0.333 0.667 0.719
As 0.667 0.333 0.281
As 0.667 0.333 0.719
I 0.000 0.000 0.500
O 0.000 0.500 0.173
O 0.000 0.500 0.827
O 0.500 0.000 0.173
O 0.500 0.000 0.827
O 0.500 0.500 0.173
O 0.500 0.500 0.827

Peak list (12 most intense, 5° ≤ 2θ ≤ 70°, sorted by position)
2θ/deg, intensity
9.51, 22.0
19.09, 18.3
21.44, 14.0
27.17, 100.0
33.52, 53.0
34.82, 12.3
34.92, 16.2
43.67, 15.9
49.11, 14.8
52.12, 23.5
56.16, 24.7
60.64, 14.6

=====

Entry 4:
Starting from a DFT-relaxed cell (GGA-PBE, Alexandria), the X-ray powder pattern of NaAsIO2 was calculated for Cu Kα, 1.54184 Å.
Intensities are scaled so that the largest is 100.

Cell and atoms:
Cell lengths 7.960, 7.960, 5.177 Å; angles 90.00, 90.00, 138.91 degrees
Positions (direct):
Na 0.085 0.915 0.750
Na 0.915 0.085 0.250
As 0.453 0.547 0.750
As 0.547 0.453 0.250
I 0.247 0.753 0.250
I 0.753 0.247 0.750
O 0.286 0.286 0.000
O 0.286 0.286 0.500
O 0.714 0.714 0.000
O 0.714 0.714 0.500

Peak list (12 most intense, 5° ≤ 2θ ≤ 70°, sorted by position)
2θ/deg, intensity
16.95, 15.2
23.89, 38.1
24.19, 30.2
29.61, 100.0
32.04, 17.4
34.66, 13.7
40.31, 9.9
47.91, 18.5
49.05, 26.9
54.22, 11.0
55.61, 16.0
59.03, 13.6